Record 1
Diffraction record for InMo3Se5. The powder diffractogram is simulated, not measured: it uses a structure optimized by DFT (PBE) and a wavelength of 1.5418 Å.
Lines closer than 0.1° are merged.

Cell and atoms:
abc: 5.668 5.668 7.533
angles: 90.00 90.00 120.00
Element x y z (fractional)
In  0.000  0.000  0.000
Mo  0.000  0.500  0.500
Mo  0.500  0.000  0.500
Mo  0.500  0.500  0.500
Se  0.000  0.000  0.500
Se  0.333  0.667  0.235
Se  0.333  0.667  0.765
Se  0.667  0.333  0.235
Se  0.667  0.333  0.765

The 6 most intense peaks (2θ from 10° to 90°), in order of rising 2θ:
11.7°, rel. 56.7
29.9°, rel. 45.9
31.6°, rel. 53.2
38.6°, rel. 25.9
44.0°, rel. 100.0
65.9°, rel. 22.9

Record 2
Diffraction record for CuAg4. The powder diffractogram is simulated, not measured: it uses a structure optimized by DFT (PBE) and a wavelength of 1.5418 Å.
Lines closer than 0.1° are merged.

Cell and atoms:
abc: 5.006 5.006 8.941
angles: 91.51 91.51 48.55
Element x y z (fractional)
Cu  0.140  0.140  0.048
Cu  0.860  0.860  0.952
Ag  0.043  0.043  0.341
Ag  0.263  0.263  0.768
Ag  0.347  0.347  0.449
Ag  0.433  0.433  0.137
Ag  0.567  0.567  0.863
Ag  0.653  0.653  0.551
Ag  0.737  0.737  0.232
Ag  0.957  0.957  0.659

The 6 most intense peaks (2θ from 10° to 90°), in order of rising 2θ:
38.4°, rel. 100.0
44.0°, rel. 34.6
45.7°, rel. 13.1
64.0°, rel. 10.5
65.3°, rel. 16.9
77.1°, rel. 17.8

Record 3
Diffraction record for KTaP2O8. The powder diffractogram is simulated, not measured: it uses a structure optimized by DFT (PBE) and a wavelength of 1.5418 Å.
Lines closer than 0.1° are merged.

Cell and atoms:
abc: 5.003 5.003 7.744
angles: 91.97 91.97 63.18
Element x y z (fractional)
K  0.000  0.000  0.000
Ta  0.000  0.000  0.500
P  0.356  0.356  0.722
P  0.644  0.644  0.278
O  0.219  0.219  0.581
O  0.221  0.696  0.676
O  0.304  0.779  0.324
O  0.307  0.307  0.903
O  0.693  0.693  0.097
O  0.696  0.221  0.676
O  0.779  0.304  0.324
O  0.781  0.781  0.419

The 6 most intense peaks (2θ from 10° to 90°), in order of rising 2θ:
11.4°, rel. 100.0
19.9°, rel. 49.8
22.8°, rel. 68.8
24.3°, rel. 36.0
30.2°, rel. 47.9
30.9°, rel. 34.9

Record 4
Diffraction record for CsFe3Te5. The powder diffractogram is simulated, not measured: it uses a structure optimized by DFT (PBE) and a wavelength of 1.5418 Å.
Lines closer than 0.1° are merged.

Cell and atoms:
abc: 5.859 5.859 8.258
angles: 90.00 90.00 120.00
Element x y z (fractional)
Cs  0.000  0.000  0.000
Fe  0.000  0.500  0.500
Fe  0.500  0.000  0.500
Fe  0.500  0.500  0.500
Te  0.000  0.000  0.500
Te  0.333  0.667  0.268
Te  0.333  0.667  0.732
Te  0.667  0.333  0.268
Te  0.667  0.333  0.732

The 6 most intense peaks (2θ from 10° to 90°), in order of rising 2θ:
10.7°, rel. 43.9
27.9°, rel. 100.0
30.5°, rel. 98.9
41.8°, rel. 78.7
52.6°, rel. 34.0
54.4°, rel. 33.2

Record 5
Diffraction record for HoTmGa3Si2. The powder diffractogram is simulated, not measured: it uses a structure optimized by DFT (PBE) and a wavelength of 1.5418 Å.
Lines closer than 0.1° are merged.

Cell and atoms:
abc: 10.190 4.033 6.574
angles: 90.00 100.98 90.00
Element x y z (fractional)
Ho  0.000  0.000  0.000
Ho  0.500  0.500  0.000
Tm  0.237  0.000  0.632
Tm  0.737  0.500  0.632
Ga  0.119  0.500  0.317
Ga  0.315  0.000  0.177
Ga  0.422  0.500  0.456
Ga  0.619  0.000  0.317
Ga  0.815  0.500  0.177
Ga  0.922  0.000  0.456
Si  0.024  0.500  0.683
Si  0.213  0.500  0.947
Si  0.524  0.000  0.683
Si  0.713  0.000  0.947

The 6 most intense peaks (2θ from 10° to 90°), in order of rising 2θ:
28.4°, rel. 28.3
34.9°, rel. 47.6
35.4°, rel. 100.0
35.9°, rel. 49.4
39.6°, rel. 38.7
45.0°, rel. 28.4

Record 6
Diffraction record for PuPa. The powder diffractogram is simulated, not measured: it uses a structure optimized by DFT (PBE) and a wavelength of 1.5418 Å.
Lines closer than 0.1° are merged.

Cell and atoms:
abc: 3.223 3.223 5.485
angles: 90.00 90.00 120.00
Element x y z (fractional)
Pu  0.000  0.000  0.000
Pa  0.333  0.667  0.500

The 6 most intense peaks (2θ from 10° to 90°), in order of rising 2θ:
32.1°, rel. 22.7
32.7°, rel. 28.9
36.1°, rel. 100.0
57.2°, rel. 18.3
60.5°, rel. 23.2
67.4°, rel. 22.6

Record 7
Diffraction record for AlW12. The powder diffractogram is simulated, not measured: it uses a structure optimized by DFT (PBE) and a wavelength of 1.5418 Å.
Lines closer than 0.1° are merged.

Cell and atoms:
abc: 9.751 9.751 9.751
angles: 30.72 30.72 30.72
Element x y z (fractional)
Al  0.000  0.000  0.000
W  0.091  0.091  0.588
W  0.091  0.588  0.091
W  0.167  0.167  0.167
W  0.352  0.352  0.352
W  0.412  0.909  0.909
W  0.455  0.455  0.455
W  0.545  0.545  0.545
W  0.588  0.091  0.091
W  0.648  0.648  0.648
W  0.833  0.833  0.833
W  0.909  0.412  0.909
W  0.909  0.909  0.412

The 6 most intense peaks (2θ from 10° to 90°), in order of rising 2θ:
38.1°, rel. 80.9
39.9°, rel. 100.0
40.5°, rel. 82.5
40.9°, rel. 80.7
42.4°, rel. 44.0
43.6°, rel. 59.5

Record 8
Diffraction record for Nd5Te2I3O10. The powder diffractogram is simulated, not measured: it uses a structure optimized by DFT (PBE) and a wavelength of 1.5418 Å.
Lines closer than 0.1° are merged.

Cell and atoms:
abc: 7.023 7.023 10.704
angles: 93.66 93.66 48.01
Element x y z (fractional)
Nd  0.000  0.000  0.000
Nd  0.297  0.297  0.098
Nd  0.389  0.389  0.782
Nd  0.611  0.611  0.218
Nd  0.703  0.703  0.902
Te  0.072  0.072  0.688
Te  0.928  0.928  0.312
I  0.188  0.188  0.376
I  0.500  0.500  0.500
I  0.812  0.812  0.624
O  0.103  0.600  0.944
O  0.200  0.716  0.193
O  0.213  0.213  0.743
O  0.284  0.800  0.807
O  0.400  0.897  0.056
O  0.600  0.103  0.944
O  0.716  0.200  0.193
O  0.787  0.787  0.257
O  0.800  0.284  0.807
O  0.897  0.400  0.056

The 6 most intense peaks (2θ from 10° to 90°), in order of rising 2θ:
27.8°, rel. 100.0
30.0°, rel. 96.0
31.3°, rel. 36.4
31.6°, rel. 30.6
45.1°, rel. 34.5
49.5°, rel. 19.9

Record 9
Diffraction record for AgMoS2. The powder diffractogram is simulated, not measured: it uses a structure optimized by DFT (PBE) and a wavelength of 1.5418 Å.
Lines closer than 0.1° are merged.

Cell and atoms:
abc: 6.903 7.450 6.550
angles: 90.00 90.00 90.00
Element x y z (fractional)
Ag  0.127  0.045  0.000
Ag  0.373  0.545  0.500
Ag  0.627  0.455  0.000
Ag  0.873  0.955  0.500
Mo  0.037  0.622  0.003
Mo  0.463  0.122  0.503
Mo  0.537  0.878  0.003
Mo  0.963  0.378  0.503
S  0.043  0.651  0.353
S  0.153  0.148  0.378
S  0.347  0.648  0.878
S  0.457  0.151  0.853
S  0.543  0.849  0.353
S  0.653  0.352  0.378
S  0.847  0.852  0.878
S  0.957  0.349  0.853

The 6 most intense peaks (2θ from 10° to 90°), in order of rising 2θ:
22.2°, rel. 28.0
27.2°, rel. 100.0
29.2°, rel. 41.7
30.5°, rel. 57.9
41.0°, rel. 40.3
50.2°, rel. 34.2

Record 10
Diffraction record for Sm2BO4. The powder diffractogram is simulated, not measured: it uses a structure optimized by DFT (PBE) and a wavelength of 1.5418 Å.
Lines closer than 0.1° are merged.

Cell and atoms:
abc: 6.193 6.193 6.193
angles: 119.96 119.96 90.06
Element x y z (fractional)
Sm  0.000  0.000  0.000
Sm  0.000  0.000  0.500
Sm  0.000  0.500  0.000
Sm  0.500  0.000  0.500
B  0.375  0.625  0.750
B  0.625  0.375  0.250
O  0.273  0.320  0.547
O  0.273  0.726  0.953
O  0.274  0.727  0.547
O  0.320  0.273  0.047
O  0.680  0.727  0.953
O  0.726  0.273  0.453
O  0.727  0.274  0.047
O  0.727  0.680  0.453

The 6 most intense peaks (2θ from 10° to 90°), in order of rising 2θ:
17.5°, rel. 100.0
33.9°, rel. 95.6
35.5°, rel. 63.1
41.2°, rel. 64.2
45.1°, rel. 44.6
59.7°, rel. 42.7

Record 11
Diffraction record for Zr4Ge3Mo2C3. The powder diffractogram is simulated, not measured: it uses a structure optimized by DFT (PBE) and a wavelength of 1.5418 Å.
Lines closer than 0.1° are merged.

Cell and atoms:
abc: 5.668 5.668 13.624
angles: 102.07 102.07 60.32
Element x y z (fractional)
Zr  0.036  0.196  0.099
Zr  0.130  0.300  0.401
Zr  0.196  0.036  0.599
Zr  0.300  0.130  0.901
Zr  0.700  0.870  0.099
Zr  0.804  0.964  0.401
Zr  0.870  0.700  0.599
Zr  0.964  0.804  0.901
Ge  0.138  0.862  0.250
Ge  0.296  0.418  0.750
Ge  0.418  0.296  0.250
Ge  0.582  0.704  0.750
Ge  0.704  0.582  0.250
Ge  0.862  0.138  0.750
Mo  0.354  0.527  0.081
Mo  0.473  0.646  0.419
Mo  0.527  0.354  0.581
Mo  0.646  0.473  0.919
C  0.000  0.500  0.000
C  0.173  0.664  0.500
C  0.336  0.827  0.000
C  0.500  0.000  0.500
C  0.664  0.173  0.000
C  0.827  0.336  0.500

The 6 most intense peaks (2θ from 10° to 90°), in order of rising 2θ:
31.6°, rel. 25.1
37.6°, rel. 52.0
37.7°, rel. 100.0
41.0°, rel. 23.1
56.0°, rel. 20.6
69.7°, rel. 14.1

Record 12
Diffraction record for LiTbHg3Te4. The powder diffractogram is simulated, not measured: it uses a structure optimized by DFT (PBE) and a wavelength of 1.5418 Å.
Lines closer than 0.1° are merged.

Cell and atoms:
abc: 7.572 8.159 10.807
angles: 90.00 108.64 90.00
Element x y z (fractional)
Li  0.024  0.250  0.314
Li  0.976  0.750  0.686
Tb  0.473  0.750  0.180
Tb  0.527  0.250  0.820
Hg  0.061  0.750  0.295
Hg  0.209  0.072  0.961
Hg  0.209  0.428  0.961
Hg  0.791  0.572  0.039
Hg  0.791  0.928  0.039
Hg  0.939  0.250  0.705
Te  0.197  0.250  0.578
Te  0.260  0.024  0.243
Te  0.260  0.476  0.243
Te  0.326  0.750  0.878
Te  0.674  0.250  0.122
Te  0.740  0.524  0.757
Te  0.740  0.976  0.757
Te  0.803  0.750  0.422

The 6 most intense peaks (2θ from 10° to 90°), in order of rising 2θ:
13.9°, rel. 100.0
25.2°, rel. 62.4
32.4°, rel. 99.3
35.3°, rel. 66.7
37.4°, rel. 57.8
42.5°, rel. 68.8